For NaLiPb, DFT lattice parameters and positions (PBE) gives the computed powder diffractogram in this record (Cu Kα, 1.54184 Å).
Neutral-atom scattering factors, no anomalous dispersion.

Peak list (10 most intense, 5° ≤ 2θ ≤ 70°, low angle first)
d (Å), Position (°2θ), Rel. int., index
13.928, 6.35, 43.1, 0 0 1
6.964, 12.71, 83.9, 0 0 2
4.643, 19.12, 32.1, 0 0 3
3.141, 28.41, 100.0, 0 1 1
2.926, 30.55, 48.1, 1 0 2
2.648, 33.85, 43.1, 0 1 3
2.366, 38.04, 52.0, 1 0 4
1.884, 48.31, 21.1, 0 1 6
1.862, 48.93, 20.8, 1 1 0
1.548, 59.75, 20.4, 1 1 5

Crystal structure
abc: 3.7230 3.7230 13.9277
angles: 90.00 90.00 120.00
Space group P-3m1 (No. 164)
Asymmetric unit:
Na 0.0000 0.0000 0.1247
Li 0.3333 0.6667 0.5579
Pb 0.3333 0.6667 0.3030

---

For Na2LiPb5, DFT lattice parameters and positions (PBE) gives the computed powder diffractogram in this record (Cu Kα, 1.54184 Å).
Neutral-atom scattering factors, no anomalous dispersion.

Peak list (10 most intense, 5° ≤ 2θ ≤ 70°, low angle first)
d (Å), Position (°2θ), Rel. int., index
5.244, 16.91, 31.9, 0 0 1
4.181, 21.25, 24.9, 1 0 1
3.464, 25.72, 20.1, 2 0 0
2.890, 30.94, 100.0, 2 0 1
2.622, 34.20, 21.2, 0 0 2
2.449, 36.69, 30.8, 2 2 0
1.790, 51.03, 24.1, 2 2 2
1.732, 52.85, 16.5, 4 0 0
1.561, 59.21, 16.4, 2 0 3
1.486, 62.52, 20.5, 4 2 1

Crystal structure
abc: 6.927 6.927 5.244
angles: 90.00 90.00 90.00
Space group P4/mmm (No. 123)
Asymmetric unit:
Na 0.000 0.500 0.000
Li 0.000 0.000 0.500
Pb 0.000 0.000 0.000
Pb 0.275 0.275 0.500

---

For Na3LiPb, DFT lattice parameters and positions (PBE) gives the computed powder diffractogram in this record (Cu Kα, 1.54184 Å).
Neutral-atom scattering factors, no anomalous dispersion.

Peak list (10 most intense, 5° ≤ 2θ ≤ 70°, low angle first)
d (Å), Position (°2θ), Rel. int., index
5.388, 16.45, 100.0, 0 1 1
5.020, 17.67, 25.3, 0 0 2
4.352, 20.41, 36.7, 1 1 1
3.952, 22.50, 31.4, 1 0 2
3.909, 22.75, 32.7, 2 0 -2
3.723, 23.90, 38.1, 2 1 -1
2.796, 32.01, 46.8, 2 1 -3
2.634, 34.03, 27.1, 1 1 3
2.604, 34.44, 27.1, 1 0 -4
2.471, 36.35, 51.9, 3 1 1

Crystal structure
abc: 9.322 6.386 10.423
angles: 90.00 105.59 90.00
Space group P2/c (No. 13)
Asymmetric unit:
Na 0.001 0.234 0.412
Na 0.201 0.272 0.797
Na 0.382 0.494 0.591
Li 0.392 0.008 0.088
Pb 0.310 0.210 0.318

---

For Na2LiPt2, DFT lattice parameters and positions (PBE) gives the computed powder diffractogram in this record (Cu Kα, 1.54184 Å).
Neutral-atom scattering factors, no anomalous dispersion.

Peak list (10 most intense, 5° ≤ 2θ ≤ 70°, low angle first)
d (Å), Position (°2θ), Rel. int., index
6.030, 14.69, 23.0, 1 1 0
4.264, 20.83, 61.2, 2 0 0
3.814, 23.32, 100.0, 2 1 0
2.710, 33.05, 20.1, 0 0 1
2.697, 33.22, 26.9, 3 1 0
2.287, 39.40, 28.1, 2 0 1
2.209, 40.85, 77.7, 2 1 1
2.068, 43.77, 40.1, 4 1 0
2.010, 45.10, 23.0, 3 3 0
1.644, 55.92, 37.5, 4 1 1

Crystal structure
abc: 8.528 8.528 2.710
angles: 90.00 90.00 90.00
Space group P4/mbm (No. 127)
Asymmetric unit:
Na 0.120 0.380 0.000
Li 0.000 0.000 0.000
Pt 0.178 0.678 0.500